Structure and theoretical powder XRD pattern of MnTcN2 (a crystal structure in Alexandria, relaxed with GGA-PBE; Cu Ka).

```
MnTcN2
1.0
-2.250 2.250 4.446
2.250 -2.250 4.446
2.250 2.250 -4.446
Mn Tc N
2 2 4
Cartesian
0.000 0.000 0.000 Mn
0.000 2.250 2.223 Mn
2.250 0.000 2.223 Tc
0.000 0.000 4.446 Tc
3.374 1.063 -1.111 N
1.063 1.125 1.111 N
-1.125 1.187 3.334 N
1.187 1.125 5.557 N
```

Peak list (12 most intense, 10° ≤ 2θ ≤ 90°, by intensity)
| 2θ (°) | I_rel |
| --- | --- |
| 34.7 | 100 |
| 58.4 | 26 |
| 69.3 | 24 |
| 40.1 | 22 |
| 58.0 | 13 |
| 70.0 | 12 |
| 22.1 | 11 |
| 40.6 | 11 |
| 73.2 | 8 |
| 86.5 | 4 |
| 46.3 | 4 |
| 36.3 | 4 |